Entry 1:
Computed powder X-ray diffraction pattern
Compound: Ac2Pr3Mg
Radiation: CuKα
Structure: DFT lattice parameters and positions (GGA-PBE)

The 10 most intense peaks (5° ≤ 2θ ≤ 70°), by angle:
9.5 deg, d = 9.281 Å, I 12.3; 24.2 deg, d = 3.674 Å, I 12.6; 28.3 deg, d = 3.154 Å, I 21.8; 28.9 deg, d = 3.094 Å, I 22.2; 29.9 deg, d = 2.988 Å, I 28.7; 30.5 deg, d = 2.929 Å, I 100.0; 42.0 deg, d = 2.149 Å, I 16.2; 52.2 deg, d = 1.753 Å, I 15.0; 53.5 deg, d = 1.714 Å, I 21.1; 55.1 deg, d = 1.666 Å, I 12.2

Structural model:
abc: 9.7507 9.7507 4.0008
angles: 90.00 90.00 144.30
Fractional coordinates of all 6 atoms:
Ac  0.1775  0.8225  0.0000
Ac  0.8225  0.1775  0.0000
Pr  0.0000  0.0000  0.5000
Pr  0.3571  0.6429  0.5000
Pr  0.6429  0.3571  0.5000
Mg  0.5000  0.5000  0.0000

Entry 2:
Computed powder X-ray diffraction pattern
Compound: Ac2PrMg6
Radiation: CuKα
Structure: DFT lattice parameters and positions (GGA-PBE)

The 10 most intense peaks (5° ≤ 2θ ≤ 70°), by angle:
19.0 deg, d = 4.674 Å, I 97.3; 31.3 deg, d = 2.856 Å, I 100.0; 33.2 deg, d = 2.699 Å, I 54.6; 38.5 deg, d = 2.337 Å, I 18.5; 41.8 deg, d = 2.161 Å, I 19.6; 46.3 deg, d = 1.962 Å, I 34.3; 51.7 deg, d = 1.767 Å, I 15.4; 54.5 deg, d = 1.683 Å, I 12.7; 58.1 deg, d = 1.587 Å, I 35.1; 61.9 deg, d = 1.500 Å, I 18.0

Structural model:
abc: 9.3487 9.3487 3.6078
angles: 90.00 90.00 120.00
Fractional coordinates of all 9 atoms:
Ac  0.3333  0.6667  0.0000
Ac  0.6667  0.3333  0.0000
Pr  0.0000  0.0000  0.0000
Mg  0.0000  0.3279  0.5000
Mg  0.0000  0.6721  0.5000
Mg  0.3279  0.0000  0.5000
Mg  0.3279  0.3279  0.5000
Mg  0.6721  0.0000  0.5000
Mg  0.6721  0.6721  0.5000

Entry 3:
Computed powder X-ray diffraction pattern
Compound: Ac2PrMgTe5
Radiation: CuKα
Structure: DFT lattice parameters and positions (GGA-PBE)

The 10 most intense peaks (5° ≤ 2θ ≤ 70°), by angle:
27.1 deg, d = 3.292 Å, I 16.5; 27.9 deg, d = 3.199 Å, I 100.0; 28.0 deg, d = 3.187 Å, I 37.6; 30.0 deg, d = 2.977 Å, I 15.0; 32.8 deg, d = 2.734 Å, I 51.9; 33.6 deg, d = 2.664 Å, I 16.5; 35.9 deg, d = 2.501 Å, I 14.5; 39.5 deg, d = 2.281 Å, I 26.6; 39.9 deg, d = 2.259 Å, I 15.7; 49.1 deg, d = 1.855 Å, I 16.0

Structural model:
abc: 10.0855 10.0855 13.8296
angles: 90.00 90.00 153.86
Fractional coordinates of all 18 atoms:
Ac  0.1141  0.8859  0.5000
Ac  0.1318  0.8682  0.1240
Ac  0.8682  0.1318  0.6240
Ac  0.8859  0.1141  0.0000
Pr  0.2014  0.7986  0.8264
Pr  0.7986  0.2014  0.3264
Mg  0.4469  0.5531  0.2668
Mg  0.5531  0.4469  0.7668
Te  0.0445  0.9555  0.8790
Te  0.2877  0.7123  0.4879
Te  0.3144  0.6856  0.1629
Te  0.3633  0.6367  0.8153
Te  0.4953  0.5047  0.5872
Te  0.5047  0.4953  0.0872
Te  0.6367  0.3633  0.3153
Te  0.6856  0.3144  0.6629
Te  0.7123  0.2877  0.9879
Te  0.9555  0.0445  0.3790

Entry 4:
Computed powder X-ray diffraction pattern
Compound: Ac2Mg2Pt15
Radiation: CuKα
Structure: DFT lattice parameters and positions (GGA-PBE)

The 10 most intense peaks (5° ≤ 2θ ≤ 70°), by angle:
18.9 deg, d = 4.688 Å, I 29.7; 33.1 deg, d = 2.707 Å, I 17.1; 34.3 deg, d = 2.617 Å, I 11.6; 38.4 deg, d = 2.344 Å, I 36.1; 38.7 deg, d = 2.328 Å, I 100.0; 39.5 deg, d = 2.282 Å, I 41.2; 43.4 deg, d = 2.085 Å, I 58.5; 56.3 deg, d = 1.635 Å, I 21.7; 62.9 deg, d = 1.478 Å, I 20.4; 69.4 deg, d = 1.353 Å, I 19.8

Structural model:
abc: 7.0803 7.0803 7.0803
angles: 82.93 82.93 82.93
Fractional coordinates of all 19 atoms:
Ac  0.1520  0.1520  0.1520
Ac  0.8480  0.8480  0.8480
Mg  0.4003  0.4003  0.4003
Mg  0.5997  0.5997  0.5997
Pt  0.0000  0.5000  0.5000
Pt  0.1574  0.1574  0.6545
Pt  0.1574  0.6545  0.1574
Pt  0.1952  0.5000  0.8048
Pt  0.1952  0.8048  0.5000
Pt  0.3455  0.8426  0.8426
Pt  0.5000  0.0000  0.5000
Pt  0.5000  0.1952  0.8048
Pt  0.5000  0.5000  0.0000
Pt  0.5000  0.8048  0.1952
Pt  0.6545  0.1574  0.1574
Pt  0.8048  0.1952  0.5000
Pt  0.8048  0.5000  0.1952
Pt  0.8426  0.3455  0.8426
Pt  0.8426  0.8426  0.3455

Entry 5:
Computed powder X-ray diffraction pattern
Compound: Ac2MgSb3Pt4
Radiation: CuKα
Structure: DFT lattice parameters and positions (GGA-PBE)

The 10 most intense peaks (5° ≤ 2θ ≤ 70°), by angle:
27.2 deg, d = 3.283 Å, I 21.8; 31.2 deg, d = 2.862 Å, I 76.3; 31.8 deg, d = 2.813 Å, I 100.0; 38.8 deg, d = 2.321 Å, I 76.2; 43.1 deg, d = 2.097 Å, I 23.7; 46.0 deg, d = 1.974 Å, I 30.0; 50.6 deg, d = 1.803 Å, I 40.4; 56.0 deg, d = 1.641 Å, I 26.4; 61.7 deg, d = 1.504 Å, I 25.2; 65.9 deg, d = 1.418 Å, I 25.3

Structural model:
abc: 4.6428 4.6428 10.9063
angles: 90.00 90.00 90.00
Fractional coordinates of all 10 atoms:
Ac  0.0000  0.5000  0.2375
Ac  0.5000  0.0000  0.7625
Mg  0.0000  0.0000  0.5000
Sb  0.0000  0.5000  0.8699
Sb  0.5000  0.0000  0.1301
Sb  0.5000  0.5000  0.5000
Pt  0.0000  0.0000  0.0000
Pt  0.0000  0.5000  0.6273
Pt  0.5000  0.0000  0.3727
Pt  0.5000  0.5000  0.0000

Entry 6:
Computed powder X-ray diffraction pattern
Compound: Ac2PuMg16
Radiation: CuKα
Structure: DFT lattice parameters and positions (GGA-PBE)

The 10 most intense peaks (5° ≤ 2θ ≤ 70°), by angle:
15.0 deg, d = 5.905 Å, I 21.2; 16.8 deg, d = 5.283 Å, I 100.0; 24.1 deg, d = 3.689 Å, I 51.8; 25.0 deg, d = 3.560 Å, I 25.9; 29.3 deg, d = 3.050 Å, I 52.4; 30.3 deg, d = 2.952 Å, I 24.9; 33.9 deg, d = 2.642 Å, I 46.9; 34.2 deg, d = 2.625 Å, I 46.6; 34.8 deg, d = 2.577 Å, I 33.3; 48.9 deg, d = 1.862 Å, I 26.8

Structural model:
abc: 7.9856 7.9856 7.9856
angles: 82.84 82.84 82.84
Fractional coordinates of all 19 atoms:
Ac  0.0000  0.0000  0.0000
Ac  0.3276  0.3276  0.3276
Pu  0.5659  0.5659  0.5659
Mg  0.0099  0.0099  0.4991
Mg  0.0099  0.4991  0.0099
Mg  0.1525  0.6615  0.6615
Mg  0.3081  0.3081  0.8129
Mg  0.3081  0.8129  0.3081
Mg  0.3601  0.6601  0.9568
Mg  0.3601  0.9568  0.6601
Mg  0.4991  0.0099  0.0099
Mg  0.6601  0.3601  0.9568
Mg  0.6601  0.9568  0.3601
Mg  0.6615  0.1525  0.6615
Mg  0.6615  0.6615  0.1525
Mg  0.7713  0.7713  0.7713
Mg  0.8129  0.3081  0.3081
Mg  0.9568  0.3601  0.6601
Mg  0.9568  0.6601  0.3601

Entry 7:
Computed powder X-ray diffraction pattern
Compound: RbAc2MgSe4
Radiation: CuKα
Structure: DFT lattice parameters and positions (GGA-PBE)

The 10 most intense peaks (5° ≤ 2θ ≤ 70°), by angle:
11.3 deg, d = 7.798 Å, I 77.5; 20.5 deg, d = 4.328 Å, I 69.2; 22.8 deg, d = 3.904 Å, I 40.6; 26.5 deg, d = 3.362 Å, I 51.6; 27.1 deg, d = 3.286 Å, I 83.9; 28.9 deg, d = 3.087 Å, I 100.0; 30.9 deg, d = 2.897 Å, I 48.8; 35.7 deg, d = 2.512 Å, I 75.8; 39.4 deg, d = 2.287 Å, I 85.2; 41.0 deg, d = 2.200 Å, I 41.2

Structural model:
abc: 8.1179 8.1179 15.5955
angles: 90.00 90.00 148.55
Fractional coordinates of all 16 atoms:
Rb  0.1054  0.8946  0.7500
Rb  0.8946  0.1054  0.2500
Ac  0.3707  0.6293  0.5509
Ac  0.3707  0.6293  0.9491
Ac  0.6293  0.3707  0.0509
Ac  0.6293  0.3707  0.4491
Mg  0.1684  0.8316  0.2500
Mg  0.8316  0.1684  0.7500
Se  0.0000  0.0000  0.0000
Se  0.0000  0.0000  0.5000
Se  0.2646  0.7354  0.1165
Se  0.2646  0.7354  0.3835
Se  0.4233  0.5767  0.7500
Se  0.5767  0.4233  0.2500
Se  0.7354  0.2646  0.6165
Se  0.7354  0.2646  0.8835

Entry 8:
Computed powder X-ray diffraction pattern
Compound: Ac2Mg12Rh7
Radiation: CuKα
Structure: DFT lattice parameters and positions (GGA-PBE)

The 10 most intense peaks (5° ≤ 2θ ≤ 70°), by angle:
9.4 deg, d = 9.406 Å, I 30.5; 16.3 deg, d = 5.431 Å, I 38.2; 25.0 deg, d = 3.555 Å, I 30.1; 28.5 deg, d = 3.135 Å, I 22.7; 29.0 deg, d = 3.081 Å, I 67.5; 33.4 deg, d = 2.680 Å, I 100.0; 41.1 deg, d = 2.198 Å, I 30.6; 44.1 deg, d = 2.053 Å, I 51.2; 47.7 deg, d = 1.908 Å, I 32.6; 64.4 deg, d = 1.447 Å, I 48.9

Structural model:
abc: 10.8616 10.8616 4.0789
angles: 90.00 90.00 120.00
Fractional coordinates of all 21 atoms:
Ac  0.0000  0.0000  0.0000
Ac  0.3333  0.6667  0.5000
Mg  0.0564  0.2965  0.5000
Mg  0.0915  0.7139  0.0000
Mg  0.2402  0.9436  0.5000
Mg  0.2861  0.3776  0.0000
Mg  0.3915  0.1706  0.0000
Mg  0.5370  0.4204  0.5000
Mg  0.5796  0.1166  0.5000
Mg  0.6224  0.9085  0.0000
Mg  0.7035  0.7598  0.5000
Mg  0.7790  0.6085  0.0000
Mg  0.8294  0.2210  0.0000
Mg  0.8834  0.4630  0.5000
Rh  0.0827  0.4650  0.0000
Rh  0.2429  0.1966  0.5000
Rh  0.3823  0.9173  0.0000
Rh  0.5350  0.6177  0.0000
Rh  0.6667  0.3333  0.0000
Rh  0.8034  0.0463  0.5000
Rh  0.9537  0.7571  0.5000

Entry 9:
Computed powder X-ray diffraction pattern
Compound: Ac2Mg2Rh3
Radiation: CuKα
Structure: DFT lattice parameters and positions (GGA-PBE)

The 10 most intense peaks (5° ≤ 2θ ≤ 70°), by angle:
15.3 deg, d = 5.791 Å, I 93.8; 24.8 deg, d = 3.593 Å, I 44.9; 29.4 deg, d = 3.038 Å, I 44.1; 30.9 deg, d = 2.897 Å, I 24.9; 31.0 deg, d = 2.881 Å, I 100.0; 34.1 deg, d = 2.632 Å, I 85.9; 37.4 deg, d = 2.405 Å, I 26.8; 39.4 deg, d = 2.285 Å, I 82.1; 43.2 deg, d = 2.094 Å, I 24.3; 46.4 deg, d = 1.958 Å, I 27.3

Structural model:
abc: 6.7617 6.7617 7.2314
angles: 115.20 115.20 33.66
Fractional coordinates of all 7 atoms:
Ac  0.1025  0.1025  0.2898
Ac  0.8975  0.8975  0.7102
Mg  0.1786  0.1786  0.8105
Mg  0.8214  0.8214  0.1895
Rh  0.4093  0.4093  0.0526
Rh  0.5000  0.5000  0.5000
Rh  0.5907  0.5907  0.9474

Entry 10:
Computed powder X-ray diffraction pattern
Compound: AcMg2SiRh2
Radiation: CuKα
Structure: DFT lattice parameters and positions (GGA-PBE)

The 10 most intense peaks (5° ≤ 2θ ≤ 70°), by angle:
19.4 deg, d = 4.568 Å, I 37.7; 24.0 deg, d = 3.700 Å, I 43.3; 28.3 deg, d = 3.155 Å, I 33.4; 31.1 deg, d = 2.875 Å, I 100.0; 34.5 deg, d = 2.596 Å, I 42.5; 39.4 deg, d = 2.284 Å, I 42.9; 49.2 deg, d = 1.850 Å, I 29.1; 51.9 deg, d = 1.763 Å, I 25.2; 53.4 deg, d = 1.715 Å, I 24.7; 66.4 deg, d = 1.408 Å, I 22.9

Structural model:
abc: 4.5683 4.5683 6.3105
angles: 90.00 90.00 90.00
Fractional coordinates of all 6 atoms:
Ac  0.0000  0.0000  0.0000
Mg  0.5000  0.5000  0.2569
Mg  0.5000  0.5000  0.7431
Si  0.0000  0.0000  0.5000
Rh  0.0000  0.5000  0.5000
Rh  0.5000  0.0000  0.5000

Entry 11:
Computed powder X-ray diffraction pattern
Compound: Ac2MgURh6
Radiation: CuKα
Structure: DFT lattice parameters and positions (GGA-PBE)

The 10 most intense peaks (5° ≤ 2θ ≤ 70°), by angle:
17.9 deg, d = 4.960 Å, I 33.8; 23.4 deg, d = 3.799 Å, I 44.7; 26.2 deg, d = 3.396 Å, I 72.3; 30.5 deg, d = 2.934 Å, I 27.8; 36.2 deg, d = 2.480 Å, I 46.4; 38.8 deg, d = 2.322 Å, I 100.0; 43.5 deg, d = 2.082 Å, I 21.5; 47.4 deg, d = 1.919 Å, I 25.0; 47.9 deg, d = 1.898 Å, I 22.0; 63.4 deg, d = 1.467 Å, I 26.3

Structural model:
abc: 5.8677 5.8677 8.3257
angles: 110.57 110.57 60.01
Fractional coordinates of all 10 atoms:
Ac  0.2163  0.2163  0.1491
Ac  0.7837  0.7837  0.8509
Mg  0.5000  0.5000  0.0000
U  0.0000  0.0000  0.5000
Rh  0.2473  0.2473  0.7318
Rh  0.2471  0.7367  0.7310
Rh  0.2633  0.7529  0.2690
Rh  0.7367  0.2471  0.7310
Rh  0.7529  0.2633  0.2690
Rh  0.7527  0.7527  0.2682

Entry 12:
Computed powder X-ray diffraction pattern
Compound: Ac3Mg2Ru
Radiation: CuKα
Structure: DFT lattice parameters and positions (GGA-PBE)

The 10 most intense peaks (5° ≤ 2θ ≤ 70°), by angle:
10.0 deg, d = 8.853 Å, I 82.3; 16.3 deg, d = 5.441 Å, I 23.8; 21.6 deg, d = 4.107 Å, I 49.3; 24.1 deg, d = 3.689 Å, I 19.8; 27.4 deg, d = 3.253 Å, I 79.3; 29.7 deg, d = 3.011 Å, I 40.8; 29.9 deg, d = 2.991 Å, I 100.0; 31.3 deg, d = 2.859 Å, I 47.8; 43.8 deg, d = 2.067 Å, I 71.5; 55.5 deg, d = 1.655 Å, I 22.0

Structural model:
abc: 5.7172 4.0577 9.2971
angles: 90.00 107.77 90.00
Fractional coordinates of all 6 atoms:
Ac  0.0000  0.0000  0.0000
Ac  0.3771  0.5000  0.7542
Ac  0.6229  0.5000  0.2458
Mg  0.2053  0.0000  0.4113
Mg  0.7947  0.0000  0.5887
Ru  0.5000  0.0000  0.0000

Entry 13:
Computed powder X-ray diffraction pattern
Compound: Ac2Mg2Ru
Radiation: CuKα
Structure: DFT lattice parameters and positions (GGA-PBE)

The 10 most intense peaks (5° ≤ 2θ ≤ 70°), by angle:
15.2 deg, d = 5.842 Å, I 46.3; 19.7 deg, d = 4.516 Å, I 90.5; 20.6 deg, d = 4.316 Å, I 29.6; 25.8 deg, d = 3.447 Å, I 41.2; 29.8 deg, d = 2.996 Å, I 46.8; 30.2 deg, d = 2.957 Å, I 78.3; 30.8 deg, d = 2.899 Å, I 100.0; 36.4 deg, d = 2.469 Å, I 47.1; 39.9 deg, d = 2.261 Å, I 39.7; 45.7 deg, d = 1.984 Å, I 24.8

Structural model:
abc: 3.9687 6.8248 12.1569
angles: 89.75 80.63 73.13
Fractional coordinates of all 10 atoms:
Ac  0.0945  0.1811  0.1280
Ac  0.2637  0.3359  0.6376
Ac  0.7363  0.6641  0.3624
Ac  0.9055  0.8189  0.8720
Mg  0.0251  0.8551  0.5977
Mg  0.3794  0.6225  0.1162
Mg  0.6206  0.3775  0.8838
Mg  0.9749  0.1449  0.4023
Ru  0.4265  0.3570  0.2881
Ru  0.5735  0.6430  0.7119